# Na2HoPCO7
Computed powder diffraction line list, copper Kα. Input: a structure optimized by DFT (GGA-PBE).
No peak broadening, texture or thermal motion is included.

The 6 most intense peaks (2θ = 15–90°), sorted by position:
2θ 15.93, intensity 99, (0 1 1)
2θ 21.20, intensity 78, (1 1 0)
2θ 25.53, intensity 100, (0 2 0)
2θ 25.95, intensity 60, (1 0 2)
2θ 32.22, intensity 40, (1 2 -1)
2θ 34.23, intensity 36, (2 0 0)

Structure:
Unit cell a=5.241 b=6.978 c=9.222 alpha=90.00 beta=90.95 gamma=90.00
Fractional positions:
Na 0.232 0.001 0.212
Na 0.232 0.499 0.212
Na 0.768 0.501 0.788
Na 0.768 0.999 0.788
Ho 0.224 0.250 0.633
Ho 0.776 0.750 0.367
P 0.295 0.750 0.582
P 0.705 0.250 0.418
C 0.268 0.250 0.930
C 0.732 0.750 0.070
O 0.043 0.250 0.865
O 0.190 0.568 0.656
O 0.190 0.932 0.656
O 0.211 0.750 0.417
O 0.299 0.250 0.066
O 0.407 0.250 0.413
O 0.464 0.250 0.840
O 0.536 0.750 0.160
O 0.593 0.750 0.587
O 0.701 0.750 0.934
O 0.789 0.250 0.583
O 0.810 0.068 0.344
O 0.810 0.432 0.344
O 0.957 0.750 0.135